For Al3Si2Ni3, a DFT-relaxed cell (PBE, Alexandria) gives the computed X-ray diffraction stick pattern in this record (Cu Kα, 1.54184 Å).
Lines closer than 0.1° are merged.

Crystal structure
a = 4.8567 Å, b = 6.2698 Å, c = 7.5106 Å
α = 105.09°, β = 99.90°, γ = 100.33°
Fractional positions:
Al1 0.0521 0.3634 0.3388
Al2 0.2145 0.9405 0.4376
Al3 0.3026 0.0331 0.1214
Al4 0.6974 0.9669 0.8786
Al5 0.7855 0.0595 0.5624
Al6 0.9479 0.6366 0.6612
Si1 0.1067 0.3383 0.9974
Si2 0.4600 0.3688 0.7131
Si3 0.5400 0.6312 0.2869
Si4 0.8933 0.6617 0.0026
Ni1 0.2077 0.0499 0.7794
Ni2 0.3709 0.6565 0.9570
Ni3 0.4139 0.6830 0.5759
Ni4 0.5861 0.3170 0.4241
Ni5 0.6291 0.3435 0.0430
Ni6 0.7923 0.9501 0.2206

Peak list (10 most intense, 2θ from 10° to 90°, by angle)
| d (Å) | I (rel.) | (hkl) |
| --- | --- | --- |
| 4.650 | 34 | 1 0 0 |
| 3.529 | 71 | 0 1 -2 |
| 2.802 | 31 | 1 -2 0 |
| 2.185 | 33 | 0 2 -3 |
| 2.076 | 70 | 2 -2 0 |
| 2.053 | 46 | 1 -1 3 |
| 2.041 | 33 | -1 1 3 |
| 2.007 | 100 | 2 1 0 |
| 1.988 | 66 | 0 1 3 |
| 1.961 | 55 | 0 3 0 |

=====

For Pa2TlCu2Se6, a DFT-relaxed cell (PBE, Alexandria) gives the computed X-ray diffraction stick pattern in this record (Cu Kα, 1.54184 Å).
Lines closer than 0.1° are merged.

Crystal structure
a = 7.4347 Å, b = 7.5796 Å, c = 7.6202 Å
α = 90.29°, β = 117.59°, γ = 119.15°
Fractional positions:
Pa1 0.1659 0.3338 0.0002
Pa2 0.8341 0.6662 0.9998
Tl1 0.5000 0.0000 0.0000
Cu1 0.3823 0.3344 0.5601
Cu2 0.6177 0.6656 0.4399
Se1 0.0347 0.0737 0.2442
Se2 0.2773 0.6945 0.2453
Se3 0.3476 0.5512 0.7552
Se4 0.6524 0.4488 0.2448
Se5 0.7227 0.3055 0.7547
Se6 0.9653 0.9263 0.7558

Peak list (10 most intense, 2θ from 10° to 90°, by angle)
| d (Å) | I (rel.) | (hkl) |
| --- | --- | --- |
| 6.447 | 99 | 0 0 1 |
| 3.793 | 34 | 1 -2 0 |
| 3.716 | 25 | -2 1 1 |
| 3.281 | 62 | -1 2 1 |
| 3.261 | 62 | 2 -1 0 |
| 3.215 | 100 | 1 1 -2 |
| 2.509 | 24 | 1 1 1 |
| 2.472 | 38 | 2 -1 1 |
| 2.468 | 36 | -1 2 2 |
| 2.157 | 30 | -3 3 1 |

=====

Copy entry 2 word for word.
For Pa2TlCu2Se6, a DFT-relaxed cell (PBE, Alexandria) gives the computed X-ray diffraction stick pattern in this record (Cu Kα, 1.54184 Å).
Lines closer than 0.1° are merged.

Crystal structure
a = 7.4347 Å, b = 7.5796 Å, c = 7.6202 Å
α = 90.29°, β = 117.59°, γ = 119.15°
Fractional positions:
Pa1 0.1659 0.3338 0.0002
Pa2 0.8341 0.6662 0.9998
Tl1 0.5000 0.0000 0.0000
Cu1 0.3823 0.3344 0.5601
Cu2 0.6177 0.6656 0.4399
Se1 0.0347 0.0737 0.2442
Se2 0.2773 0.6945 0.2453
Se3 0.3476 0.5512 0.7552
Se4 0.6524 0.4488 0.2448
Se5 0.7227 0.3055 0.7547
Se6 0.9653 0.9263 0.7558

Peak list (10 most intense, 2θ from 10° to 90°, by angle)
| d (Å) | I (rel.) | (hkl) |
| --- | --- | --- |
| 6.447 | 99 | 0 0 1 |
| 3.793 | 34 | 1 -2 0 |
| 3.716 | 25 | -2 1 1 |
| 3.281 | 62 | -1 2 1 |
| 3.261 | 62 | 2 -1 0 |
| 3.215 | 100 | 1 1 -2 |
| 2.509 | 24 | 1 1 1 |
| 2.472 | 38 | 2 -1 1 |
| 2.468 | 36 | -1 2 2 |
| 2.157 | 30 | -3 3 1 |